# Na2VBO5
Computed PXRD pattern, Cu Ka. Input: a structure optimized by DFT (GGA+U).
Peak positions follow from Bragg's law for the DFT cell and can differ from measured ones.

Top 6 peaks for 10 to 90 degrees two-theta, sorted by position:
2θ 15.7, I 35.0
2θ 16.6, I 65.6
2θ 21.4, I 86.3
2θ 28.1, I 46.7
2θ 41.0, I 100.0
2θ 41.7, I 33.3

Structural model:
```
Na2VBO5
1.0
1.431 -6.643 0.000
1.431 6.643 0.000
0.000 0.000 10.667
Na V B O
4 2 2 10
Direct
0.066 0.934 0.500
0.119 0.881 0.186
0.881 0.119 0.686
0.934 0.066 0.000
0.207 0.793 0.893
0.793 0.207 0.393
0.428 0.572 0.259
0.572 0.428 0.759
0.058 0.942 0.843
0.309 0.691 0.505
0.315 0.685 0.263
0.333 0.667 0.866
0.482 0.518 0.153
0.518 0.482 0.653
0.667 0.333 0.366
0.685 0.315 0.763
0.691 0.309 0.005
0.942 0.058 0.343
```